# 1
For Li9Ag4, a DFT-relaxed cell (PBE, Alexandria) gives the theoretical powder XRD pattern in this record (Cu Kα (λ = 1.5418 Å)).

Structure:
a = 8.3455 Å, b = 8.2901 Å, c = 9.6151 Å
α = 54.96°, β = 54.42°, γ = 70.62°
Fractional positions:
Li: 0.1112 0.3576 0.8888
Li: 0.1115 0.8885 0.1115
Li: 0.1218 0.4563 0.5437
Li: 0.1249 0.4842 0.2153
Li: 0.1250 0.7587 0.5893
Li: 0.3576 0.1112 0.6424
Li: 0.4107 0.4730 0.8750
Li: 0.4158 0.7778 0.2222
Li: 0.4563 0.1218 0.8782
Li: 0.4665 0.8297 0.5335
Li: 0.4730 0.4107 0.2413
Li: 0.4842 0.1249 0.1755
Li: 0.7587 0.1250 0.5270
Li: 0.7778 0.4158 0.5842
Li: 0.7847 0.8245 0.8751
Li: 0.8245 0.7847 0.5158
Li: 0.8297 0.4665 0.1703
Li: 0.8885 0.1115 0.8885
Ag: 0.1150 0.1298 0.5268
Ag: 0.1222 0.7740 0.8778
Ag: 0.1298 0.1150 0.2284
Ag: 0.4647 0.4647 0.5353
Ag: 0.4732 0.7716 0.8850
Ag: 0.7624 0.7624 0.2376
Ag: 0.7716 0.4732 0.8702
Ag: 0.7740 0.1222 0.2260

Peak list (12 most intense, 2θ from 15° to 90°, low angle first)
- 18.48°, I 280
- 22.63°, I 714
- 22.74°, I 818
- 29.37°, I 149
- 39.57°, I 166
- 39.69°, I 318
- 39.86°, I 1000
- 39.98°, I 175
- 46.45°, I 143
- 57.50°, I 133
- 57.74°, I 147
- 72.52°, I 143



# 2
For Li6Ag7, a DFT-relaxed cell (PBE, Alexandria) gives the theoretical powder XRD pattern in this record (Cu Kα (λ = 1.5418 Å)).

Structure:
a = 9.9232 Å, b = 9.9232 Å, c = 9.9232 Å
α = 32.27°, β = 32.27°, γ = 32.27°
Fractional positions:
Li: 0.0523 0.0523 0.0523
Li: 0.1575 0.1575 0.1575
Li: 0.3326 0.3326 0.3326
Li: 0.6674 0.6674 0.6674
Li: 0.8425 0.8425 0.8425
Li: 0.9477 0.9477 0.9477
Ag: 0.0825 0.5847 0.5847
Ag: 0.4153 0.4153 0.9175
Ag: 0.4153 0.9175 0.4153
Ag: 0.5000 0.5000 0.5000
Ag: 0.5847 0.0825 0.5847
Ag: 0.5847 0.5847 0.0825
Ag: 0.9175 0.4153 0.4153

Peak list (12 most intense, 2θ from 15° to 90°, low angle first)
- 18.86°, I 1000
- 22.48°, I 176
- 37.81°, I 440
- 38.26°, I 362
- 39.89°, I 130
- 41.04°, I 361
- 44.08°, I 278
- 52.34°, I 106
- 67.98°, I 101
- 68.93°, I 113
- 71.27°, I 100
- 80.81°, I 136



# 3
For Li8Ag, a DFT-relaxed cell (PBE, Alexandria) gives the theoretical powder XRD pattern in this record (Cu Kα (λ = 1.5418 Å)).

Structure:
a = 6.6337 Å, b = 6.6337 Å, c = 6.6337 Å
α = 95.73°, β = 95.73°, γ = 143.17°
Fractional positions:
Li: 0.0000 0.3253 0.3253
Li: 0.0000 0.6747 0.6747
Li: 0.3253 0.0000 0.3253
Li: 0.3413 0.3413 0.6826
Li: 0.3413 0.6587 0.0000
Li: 0.6587 0.3413 0.0000
Li: 0.6587 0.6587 0.3174
Li: 0.6747 0.0000 0.6747
Ag: 0.0000 0.0000 0.0000

Peak list (12 most intense, 2θ from 15° to 90°, low angle first)
- 19.95°, I 755
- 23.46°, I 1000
- 28.36°, I 294
- 30.98°, I 979
- 31.79°, I 462
- 37.13°, I 616
- 42.50°, I 416
- 43.13°, I 299
- 45.60°, I 341
- 47.37°, I 320
- 56.13°, I 257
- 75.12°, I 213